Structure and simulated X-ray diffraction stick pattern of RbMg14BiO16 (a crystal structure in the Materials Project, relaxed with PBE; Cu Kα (λ = 1.5418 Å)).

abc: 4.529 8.751 9.014
angles: 90.00 90.00 90.00
Space group Pmmm (No. 47)
One atom of each set of equivalent atoms:
Rb  0.000  0.000  0.000 (multiplicity 1)
Mg  0.000  0.261  0.242 (multiplicity 4)
Mg  0.000  0.500  0.000 (multiplicity 1)
Mg  0.000  0.500  0.500 (multiplicity 1)
Mg  0.500  0.000  0.235 (multiplicity 2)
Mg  0.500  0.256  0.000 (multiplicity 2)
Mg  0.500  0.264  0.500 (multiplicity 2)
Mg  0.500  0.500  0.247 (multiplicity 2)
Bi  0.000  0.000  0.500 (multiplicity 1)
O  0.000  0.000  0.259 (multiplicity 2)
O  0.000  0.270  0.500 (multiplicity 2)
O  0.000  0.282  0.000 (multiplicity 2)
O  0.000  0.500  0.255 (multiplicity 2)
O  0.500  0.000  0.000 (multiplicity 1)
O  0.500  0.000  0.500 (multiplicity 1)
O  0.500  0.251  0.251 (multiplicity 4)
O  0.500  0.500  0.000 (multiplicity 1)
O  0.500  0.500  0.500 (multiplicity 1)

Largest 6 diffraction maxima, sorted by position, 10 to 90 degrees two-theta:
Position (°2θ), I_rel, (hkl)
10.1, 100, 0 1 0
22.1, 85, 0 1 2
34.8, 78, 1 2 2
39.8, 74, 2 0 0
40.0, 72, 0 0 4
41.3, 64, 0 4 0